Entry 1:
This entry pairs a crystal structure of NdDy2Y12 with its simulated X-ray powder pattern. Radiation: CuKα. Structure: a crystal structure in Alexandria, relaxed with GGA-PBE.
Neutral-atom scattering factors, no anomalous dispersion.

Atomic structure:
```
data_NdDy2Y12
_chemical_formula_sum 'Nd2 Dy4 Y24'
_symmetry_space_group_name_H-M 'P 4/n b m'
_symmetry_Int_Tables_number 125
_cell_length_a 6.444
_cell_length_b 6.444
_cell_length_c 25.263
_cell_angle_alpha 90.00
_cell_angle_beta 90.00
_cell_angle_gamma 90.00
loop_
_symmetry_equiv_pos_as_xyz
'x,y,z'
'-x,-y,-z'
'-y+1/2,x,z'
'y+1/2,-x,-z'
'-x+1/2,-y+1/2,z'
'x+1/2,y+1/2,-z'
'y,-x+1/2,z'
'-y,x+1/2,-z'
'x,-y+1/2,-z'
'-x,y+1/2,z'
'-y+1/2,-x+1/2,-z'
'y+1/2,x+1/2,z'
'-x+1/2,y,-z'
'x+1/2,-y,z'
'y,x,-z'
'-y,-x,z'
loop_
_atom_site_label
_atom_site_type_symbol
_atom_site_fract_x
_atom_site_fract_y
_atom_site_fract_z
_atom_site_occupancy
Nd1 Nd 0.250 0.750 0.000 1
Dy1 Dy 0.250 0.750 0.276 1
Y1 Y 0.068 0.568 0.117 1
Y2 Y 0.081 0.581 0.439 1
Y3 Y 0.250 0.250 0.217 1
Y4 Y 0.250 0.250 0.340 1
```

Peak list (10 most intense, 2θ = 5–70°, sorted by position)
index	2θ/deg	d (Å)	Rel. int.
1 1 4	24.1	3.695	31
2 0 2	28.6	3.122	57
2 0 3	29.7	3.009	57
2 0 4	31.2	2.868	79
1 1 7	31.6	2.829	100
0 0 9	31.9	2.807	26
2 1 3	32.8	2.726	50
2 1 6	37.8	2.378	33
2 2 0	39.6	2.278	44
3 1 9	55.7	1.649	36

=====

Entry 2:
This entry pairs a crystal structure of Pu2HfO11 with its simulated X-ray powder pattern. Radiation: CuKα. Structure: a crystal structure in Alexandria, relaxed with GGA-PBE.
Neutral-atom scattering factors, no anomalous dispersion.

Atomic structure:
```
data_Pu2HfO11
_chemical_formula_sum 'Pu4 Hf2 O22'
_symmetry_space_group_name_H-M 'P 1'
_symmetry_Int_Tables_number 1
_symmetry_space_group_name_Hall 'P 1'
_cell_length_a 7.939
_cell_length_b 7.958
_cell_length_c 9.187
_cell_angle_alpha 106.31
_cell_angle_beta 106.36
_cell_angle_gamma 109.61
loop_
_atom_site_label
_atom_site_type_symbol
_atom_site_fract_x
_atom_site_fract_y
_atom_site_fract_z
_atom_site_occupancy
Pu1 Pu 0.000 0.000 0.000 1
Pu2 Pu 0.195 0.694 0.495 1
Pu3 Pu 0.432 0.433 0.992 1
Pu4 Pu 0.756 0.260 0.496 1
Hf1 Hf 0.236 0.212 0.496 1
Hf2 Hf 0.480 0.954 0.997 1
O1 O 0.091 0.577 0.271 1
O2 O 0.114 0.121 0.236 1
O3 O 0.159 0.263 0.986 1
O4 O 0.172 0.935 0.481 1
O5 O 0.215 0.927 0.009 1
O6 O 0.277 0.490 0.510 1
O7 O 0.327 0.827 0.732 1
O8 O 0.330 0.328 0.756 1
O9 O 0.422 0.686 0.999 1
O10 O 0.502 0.824 0.452 1
O11 O 0.505 0.219 0.987 1
O12 O 0.514 0.282 0.509 1
O13 O 0.547 0.542 0.216 1
O14 O 0.614 0.108 0.261 1
O15 O 0.638 0.980 0.574 1
O16 O 0.744 0.555 0.950 1
O17 O 0.749 0.015 0.992 1
O18 O 0.881 0.711 0.070 1
O19 O 0.882 0.386 0.720 1
O20 O 0.883 0.866 0.777 1
O21 O 0.919 0.523 0.485 1
O22 O 0.960 0.176 0.486 1
```

Peak list (10 most intense, 2θ = 5–70°, sorted by position)
index	2θ/deg	d (Å)	Rel. int.
1 0 0	13.0	6.810	20
0 1 -1	13.1	6.758	19
-1 1 1	17.6	5.047	50
0 0 2	22.2	4.008	77
2 0 -1	23.8	3.743	100
2 -2 0	27.5	3.248	34
2 0 1	32.6	2.750	29
0 2 -3	32.9	2.723	29
-2 2 2	35.6	2.524	25
0 2 -5	52.0	1.760	18